Record 1
Structure and theoretical powder X-ray diffraction pattern of Tm2Sc4Te9 (a structure optimized by DFT (GGA-PBE); Cu Kα, 1.54184 Å).

Peak list (6 most intense, 10 to 90 degrees two-theta, in order of falling intensity)
d/Å, Rel. int.
3.243, 100.0
2.497, 58.7
2.132, 42.8
1.927, 22.6
1.782, 17.3
1.327, 16.2

Structure:
a = 7.385 Å, b = 7.388 Å, c = 20.332 Å
α = 90.01°, β = 90.02°, γ = 119.99°
Atoms (fractional coordinates):
Tm 0.001 0.000 0.342
Tm 0.001 0.999 0.842
Tm 0.999 0.000 0.658
Tm 0.999 0.001 0.158
Sc 0.332 0.665 0.005
Sc 0.333 0.666 0.828
Sc 0.334 0.667 0.506
Sc 0.334 0.668 0.327
Sc 0.666 0.332 0.673
Sc 0.666 0.333 0.494
Sc 0.667 0.334 0.172
Sc 0.668 0.335 0.995
Te 0.000 0.329 0.250
Te 0.000 0.671 0.750
Te 0.011 0.355 0.917
Te 0.014 0.656 0.417
Te 0.328 0.328 0.750
Te 0.330 0.001 0.250
Te 0.344 0.358 0.417
Te 0.345 0.988 0.918
Te 0.356 0.014 0.583
Te 0.356 0.345 0.083
Te 0.644 0.655 0.917
Te 0.644 0.986 0.417
Te 0.655 0.012 0.082
Te 0.656 0.642 0.583
Te 0.670 0.999 0.750
Te 0.672 0.672 0.250
Te 0.986 0.344 0.583
Te 0.989 0.645 0.083

---

Record 2
Structure and theoretical powder X-ray diffraction pattern of NpIrRh4 (a structure optimized by DFT (GGA-PBE); Cu Kα, 1.54184 Å).

Peak list (6 most intense, 10 to 90 degrees two-theta, in order of falling intensity)
d/Å, Rel. int.
2.746, 100.0
1.717, 75.3
3.811, 67.3
2.551, 62.6
2.228, 42.3
2.695, 38.4

Structure:
a = 5.390 Å, b = 5.390 Å, c = 7.922 Å
α = 90.00°, β = 90.00°, γ = 90.00°
Atoms (fractional coordinates):
Np 0.250 0.750 0.250
Np 0.750 0.250 0.750
Ir 0.250 0.750 0.750
Ir 0.750 0.250 0.250
Rh 0.021 0.250 0.511
Rh 0.250 0.021 0.011
Rh 0.250 0.479 0.011
Rh 0.479 0.250 0.511
Rh 0.521 0.750 0.489
Rh 0.750 0.521 0.989
Rh 0.750 0.979 0.989
Rh 0.979 0.750 0.489

---

Record 3
Structure and theoretical powder X-ray diffraction pattern of TlC5 (a structure optimized by DFT (GGA-PBE); Cu Kα, 1.54184 Å).

Peak list (6 most intense, 10 to 90 degrees two-theta, in order of falling intensity)
d/Å, Rel. int.
7.640, 100.0
3.620, 47.7
3.008, 28.9
3.820, 24.6
2.038, 23.3
2.533, 17.2

Structure:
a = 7.968 Å, b = 7.968 Å, c = 7.968 Å
α = 161.45°, β = 152.95°, γ = 33.00°
Atoms (fractional coordinates):
Tl 0.000 0.000 0.000
C 0.147 0.147 0.000
C 0.189 0.689 0.500
C 0.285 0.785 0.500
C 0.330 0.330 0.000
C 0.425 0.425 0.000

---

Record 4
Structure and theoretical powder X-ray diffraction pattern of YAl2O4 (a structure optimized by DFT (GGA-PBE); Cu Kα, 1.54184 Å).

Peak list (6 most intense, 10 to 90 degrees two-theta, in order of falling intensity)
d/Å, Rel. int.
2.794, 100.0
2.741, 84.3
3.672, 68.1
3.045, 64.6
1.920, 46.6
4.777, 39.8

Structure:
a = 6.413 Å, b = 5.798 Å, c = 7.414 Å
α = 56.50°, β = 48.93°, γ = 74.58°
Atoms (fractional coordinates):
Y 0.000 0.000 0.000
Y 0.250 0.250 0.250
Al 0.021 0.625 0.609
Al 0.505 0.641 0.625
Al 0.625 0.021 0.745
Al 0.641 0.505 0.229
O 0.258 0.382 0.489
O 0.281 0.814 0.531
O 0.379 0.761 0.868
O 0.382 0.258 0.871
O 0.719 0.877 0.969
O 0.761 0.379 0.992
O 0.814 0.281 0.373
O 0.877 0.719 0.436

---

Record 5
Structure and theoretical powder X-ray diffraction pattern of Tm2Cd4Ag (a structure optimized by DFT (GGA-PBE); Cu Kα, 1.54184 Å).

Peak list (6 most intense, 10 to 90 degrees two-theta, in order of falling intensity)
d/Å, Rel. int.
2.499, 100.0
3.173, 50.6
2.622, 40.4
2.361, 22.5
2.106, 21.4
1.311, 20.5

Structure:
a = 7.931 Å, b = 6.802 Å, c = 5.771 Å
α = 77.74°, β = 56.94°, γ = 45.32°
Atoms (fractional coordinates):
Tm 0.139 0.139 0.861
Tm 0.861 0.861 0.139
Cd 0.000 0.000 0.500
Cd 0.250 0.250 0.250
Cd 0.500 0.500 0.000
Cd 0.750 0.750 0.750
Ag 0.500 0.500 0.500

---

Record 6
Structure and theoretical powder X-ray diffraction pattern of K3Dy3TcO8 (a structure optimized by DFT (GGA-PBE); Cu Kα, 1.54184 Å).

Peak list (6 most intense, 10 to 90 degrees two-theta, in order of falling intensity)
d/Å, Rel. int.
6.287, 100.0
2.492, 74.1
2.802, 52.3
2.900, 32.8
3.143, 27.6
1.838, 24.6

Structure:
a = 7.405 Å, b = 7.405 Å, c = 7.405 Å
α = 54.47°, β = 54.47°, γ = 54.47°
Atoms (fractional coordinates):
K 0.000 0.500 0.500
K 0.500 0.000 0.500
K 0.500 0.500 0.000
Dy 0.000 0.000 0.500
Dy 0.000 0.500 0.000
Dy 0.500 0.000 0.000
Tc 0.500 0.500 0.500
O 0.228 0.228 0.228
O 0.251 0.711 0.711
O 0.289 0.289 0.749
O 0.289 0.749 0.289
O 0.711 0.251 0.711
O 0.711 0.711 0.251
O 0.749 0.289 0.289
O 0.772 0.772 0.772

---

Record 7
Structure and theoretical powder X-ray diffraction pattern of BaSrSm4O8 (a structure optimized by DFT (GGA-PBE); Cu Kα, 1.54184 Å).

Peak list (6 most intense, 10 to 90 degrees two-theta, in order of falling intensity)
d/Å, Rel. int.
3.042, 100.0
2.958, 76.6
3.095, 49.3
2.132, 39.9
2.942, 37.7
1.777, 34.1

Structure:
a = 3.555 Å, b = 12.378 Å, c = 10.479 Å
α = 90.00°, β = 90.00°, γ = 90.00°
Atoms (fractional coordinates):
Ba 0.000 0.101 0.000
Ba 0.000 0.899 0.500
Sr 0.500 0.395 0.506
Sr 0.500 0.605 0.006
Sm 0.000 0.144 0.332
Sm 0.000 0.364 0.825
Sm 0.000 0.636 0.325
Sm 0.000 0.856 0.832
Sm 0.500 0.139 0.675
Sm 0.500 0.366 0.172
Sm 0.500 0.634 0.672
Sm 0.500 0.861 0.175
O 0.000 0.031 0.735
O 0.000 0.271 0.623
O 0.000 0.334 0.328
O 0.000 0.427 0.037
O 0.000 0.573 0.537
O 0.000 0.666 0.828
O 0.000 0.729 0.123
O 0.000 0.969 0.235
O 0.500 0.083 0.462
O 0.500 0.179 0.183
O 0.500 0.233 0.872
O 0.500 0.462 0.755
O 0.500 0.538 0.255
O 0.500 0.767 0.372
O 0.500 0.821 0.683
O 0.500 0.917 0.962

---

Record 8
Structure and theoretical powder X-ray diffraction pattern of ZrBe2CoB (a structure optimized by DFT (GGA-PBE); Cu Kα, 1.54184 Å).

Peak list (6 most intense, 10 to 90 degrees two-theta, in order of falling intensity)
d/Å, Rel. int.
2.119, 100.0
3.258, 58.0
3.066, 57.6
2.339, 40.1
2.376, 28.3
2.265, 24.1

Structure:
a = 5.312 Å, b = 5.312 Å, c = 5.312 Å
α = 144.50°, β = 141.90°, γ = 53.06°
Atoms (fractional coordinates):
Zr 0.000 0.000 0.000
Be 0.621 0.621 0.000
Be 0.773 0.273 0.500
Co 0.265 0.765 0.500
B 0.399 0.399 0.000

---

Record 9
Structure and theoretical powder X-ray diffraction pattern of MnFe2Ni (a structure optimized by DFT (GGA-PBE); Cu Kα, 1.54184 Å).

Peak list (6 most intense, 10 to 90 degrees two-theta, in order of falling intensity)
d/Å, Rel. int.
2.017, 100.0
2.008, 65.7
2.038, 34.5
1.161, 23.6
1.434, 20.0
1.173, 9.8

Structure:
a = 2.470 Å, b = 4.076 Å, c = 4.683 Å
α = 90.00°, β = 99.73°, γ = 90.00°
Atoms (fractional coordinates):
Mn 0.000 0.000 0.000
Fe 0.250 0.500 0.753
Fe 0.750 0.500 0.247
Ni 0.500 0.000 0.500

---

Record 10
Structure and theoretical powder X-ray diffraction pattern of PrSi2Pd2Rh (a structure optimized by DFT (GGA-PBE); Cu Kα, 1.54184 Å).

Peak list (6 most intense, 10 to 90 degrees two-theta, in order of falling intensity)
d/Å, Rel. int.
2.388, 100.0
3.215, 86.8
1.647, 63.0
2.274, 54.5
1.150, 19.2
1.608, 18.2

Structure:
a = 4.547 Å, b = 4.547 Å, c = 5.612 Å
α = 90.00°, β = 90.00°, γ = 90.00°
Atoms (fractional coordinates):
Pr 0.000 0.000 0.000
Si 0.000 0.500 0.500
Si 0.500 0.000 0.500
Pd 0.500 0.500 0.249
Pd 0.500 0.500 0.751
Rh 0.000 0.000 0.500

---

Record 11
Structure and theoretical powder X-ray diffraction pattern of Zn6PdPt5 (a structure optimized by DFT (GGA-PBE); Cu Kα, 1.54184 Å).

Peak list (6 most intense, 10 to 90 degrees two-theta, in order of falling intensity)
d/Å, Rel. int.
2.226, 100.0
2.043, 38.7
1.212, 28.1
2.889, 18.9
1.327, 18.8
3.491, 15.0

Structure:
a = 4.534 Å, b = 5.775 Å, c = 6.753 Å
α = 90.00°, β = 98.53°, γ = 90.00°
Atoms (fractional coordinates):
Zn 0.000 0.250 0.000
Zn 0.000 0.750 0.000
Zn 0.335 0.250 0.666
Zn 0.335 0.750 0.666
Zn 0.665 0.250 0.334
Zn 0.665 0.750 0.334
Pd 0.500 0.000 0.000
Pt 0.163 0.000 0.331
Pt 0.165 0.500 0.332
Pt 0.500 0.500 0.000
Pt 0.835 0.500 0.668
Pt 0.837 0.000 0.669

---

Record 12
Structure and theoretical powder X-ray diffraction pattern of NaHg5Pb2 (a structure optimized by DFT (GGA-PBE); Cu Kα, 1.54184 Å).

Peak list (6 most intense, 10 to 90 degrees two-theta, in order of falling intensity)
d/Å, Rel. int.
2.728, 100.0
2.512, 40.9
1.488, 32.6
1.624, 20.2
1.776, 14.7
2.130, 11.7

Structure:
a = 9.230 Å, b = 9.230 Å, c = 9.230 Å
α = 148.42°, β = 148.42°, γ = 45.27°
Atoms (fractional coordinates):
Na 0.000 0.000 0.000
Hg 0.118 0.618 0.500
Hg 0.382 0.882 0.500
Hg 0.500 0.500 0.000
Hg 0.618 0.118 0.500
Hg 0.882 0.382 0.500
Pb 0.244 0.244 0.000
Pb 0.756 0.756 0.000

---

Record 13
Structure and theoretical powder X-ray diffraction pattern of Sm4Y3Ho3 (a structure optimized by DFT (GGA-PBE); Cu Kα, 1.54184 Å).

Peak list (6 most intense, 10 to 90 degrees two-theta, in order of falling intensity)
d/Å, Rel. int.
2.799, 100.0
2.941, 62.1
1.572, 18.7
6.581, 15.4
1.591, 14.8
1.644, 14.6

Structure:
a = 3.783 Å, b = 9.306 Å, c = 9.306 Å
α = 89.98°, β = 90.00°, γ = 90.00°
Atoms (fractional coordinates):
Sm 0.000 0.000 0.000
Sm 0.000 0.259 0.259
Sm 0.000 0.497 0.758
Sm 0.000 0.758 0.497
Y 0.000 0.129 0.629
Y 0.000 0.629 0.129
Y 0.500 0.798 0.798
Ho 0.500 0.298 0.960
Ho 0.500 0.460 0.460
Ho 0.500 0.960 0.298